[1]
Ag16Pt6Au7: simulated XRD peak list (λ = 1.5418 Å (Cu Kα)), based on a DFT-relaxed cell (PBE, Alexandria).
Kinematic intensities with the Lorentz-polarization factor, no thermal factor.

Cell and atoms:
a = 9.215 Å, b = 9.215 Å, c = 9.215 Å
α = 60.00°, β = 60.00°, γ = 60.00°
Atoms (fractional coordinates):
Ag  0.037  0.654  0.654
Ag  0.121  0.121  0.121
Ag  0.121  0.121  0.636
Ag  0.121  0.636  0.121
Ag  0.346  0.346  0.346
Ag  0.346  0.346  0.963
Ag  0.346  0.963  0.346
Ag  0.364  0.879  0.879
Ag  0.636  0.121  0.121
Ag  0.654  0.037  0.654
Ag  0.654  0.654  0.037
Ag  0.654  0.654  0.654
Ag  0.879  0.364  0.879
Ag  0.879  0.879  0.364
Ag  0.879  0.879  0.879
Ag  0.963  0.346  0.346
Pt  0.344  0.344  0.656
Pt  0.344  0.656  0.344
Pt  0.344  0.656  0.656
Pt  0.656  0.344  0.344
Pt  0.656  0.344  0.656
Pt  0.656  0.656  0.344
Au  0.000  0.000  0.000
Au  0.000  0.000  0.500
Au  0.000  0.500  0.000
Au  0.000  0.500  0.500
Au  0.500  0.000  0.000
Au  0.500  0.000  0.500
Au  0.500  0.500  0.000

Principal peaks in the range 2θ = 10–90°, by angle:
2θ (°), I/Imax
23.65, 29
33.69, 32
35.80, 64
39.10, 100
40.97, 25
41.58, 42
46.21, 45
56.49, 25
62.09, 22
72.12, 27

***

[2]
PrSi2NiOs: simulated XRD peak list (λ = 1.5418 Å (Cu Kα)), based on a DFT-relaxed cell (PBE, Alexandria).
Kinematic intensities with the Lorentz-polarization factor, no thermal factor.

Cell and atoms:
a = 5.893 Å, b = 5.893 Å, c = 5.893 Å
α = 139.82°, β = 139.82°, γ = 58.13°
Atoms (fractional coordinates):
Pr  0.000  0.000  0.000
Si  0.372  0.372  0.000
Si  0.628  0.628  0.000
Ni  0.750  0.250  0.500
Os  0.250  0.750  0.500

Principal peaks in the range 2θ = 10–90°, by angle:
2θ (°), I/Imax
17.22, 13
23.61, 47
34.24, 36
34.84, 20
35.89, 100
44.77, 36
57.55, 16
57.95, 19
63.15, 20
76.70, 22